Ca2SiO4: simulated powder X-ray diffraction pattern (Cu Kα), based on a DFT-relaxed cell (PBE, the Materials Project).
No peak broadening, texture or thermal motion is included.

Atomic structure:
```
Ca2SiO4
1.0
7.0581 0.0000 0.0000
0.0000 5.4007 0.0000
-0.0083 0.0000 9.8323
Ca Si O
8 4 16
Cartesian
0.0000 0.0000 0.0000
-0.0042 2.7003 4.9162
1.7544 0.0518 6.4345
1.7585 2.6485 1.5183
3.5290 0.0000 0.0000
3.5249 2.7003 4.9162
5.2912 2.7521 8.3140
5.2954 5.3489 3.3978
1.7614 2.7535 8.0766
1.7655 5.3475 3.1604
5.2842 0.0532 6.6720
5.2884 2.6472 1.7558
0.4216 3.4872 8.6703
0.4258 4.6138 3.7541
1.7571 1.1454 8.5059
1.7613 1.5549 3.5897
1.7584 2.9884 6.4240
1.7626 5.1126 1.5079
3.1040 3.4848 8.6653
3.1082 4.6162 3.7491
3.9416 0.7845 6.0833
3.9457 1.9159 1.1671
5.2872 0.2880 8.3245
5.2913 2.4123 3.4083
5.2885 3.8457 6.2426
5.2926 4.2553 1.3265
6.6240 0.7869 6.0782
6.6281 1.9135 1.1620
```

Principal peaks in the range 10 to 80 degrees two-theta, sorted by position:
two_theta	I_rel
31.20	71
31.62	57
31.94	100
33.18	42
44.94	23
46.18	35
56.17	32
58.30	25